For MgPt2, a structure optimized by DFT (GGA-PBE) gives the computed powder X-ray diffraction pattern in this record (Cu Kα (weighted mean of Kα1 and Kα2)).
Lines closer than 0.1° are merged.

a b c (Å): 5.361 5.361 6.620
angles (deg): 103.63 103.63 31.13
Fractional coordinates of all 6 atoms:
Mg (0.000, 0.000, 0.000)
Mg (0.693, 0.693, 0.368)
Pt (0.066, 0.066, 0.624)
Pt (0.342, 0.342, 0.684)
Pt (0.410, 0.410, 0.285)
Pt (0.722, 0.722, 0.971)

Principal peaks in the range 10° ≤ 2θ ≤ 90°, in order of rising 2θ:
- d = 6.419 Å, 13.80 deg, rel. 30
- d = 4.521 Å, 19.64 deg, rel. 62
- d = 2.480 Å, 36.23 deg, rel. 65
- d = 2.444 Å, 36.77 deg, rel. 32
- d = 2.260 Å, 39.88 deg, rel. 63
- d = 2.179 Å, 41.43 deg, rel. 93
- d = 2.169 Å, 41.64 deg, rel. 100
- d = 2.160 Å, 41.81 deg, rel. 46
- d = 2.140 Å, 42.24 deg, rel. 44
- d = 1.418 Å, 65.88 deg, rel. 30